Record 1
Diffraction record for Li3TiP2O8. The powder diffraction line list is calculated, not measured: it uses a crystal structure in Alexandria, relaxed with PBE and Cu Ka.
Lines closer than 0.1° are merged.

```
Li3TiP2O8
1.0
4.998 0.000 0.000
0.000 8.886 0.000
-4.436 0.000 6.454
Li Ti P O
6 2 4 16
direct
0.000 0.000 0.000
0.000 0.500 0.500
0.325 0.136 0.816
0.325 0.364 0.316
0.675 0.636 0.684
0.675 0.864 0.184
0.500 0.000 0.500
0.500 0.500 0.000
0.186 0.682 0.214
0.186 0.818 0.714
0.814 0.182 0.286
0.814 0.318 0.786
0.148 0.136 0.485
0.148 0.364 0.985
0.174 0.645 0.744
0.174 0.855 0.244
0.253 0.595 0.402
0.253 0.905 0.902
0.464 0.645 0.183
0.464 0.855 0.683
0.536 0.145 0.317
0.536 0.355 0.817
0.747 0.095 0.098
0.747 0.405 0.598
0.826 0.145 0.756
0.826 0.355 0.256
0.852 0.636 0.015
0.852 0.864 0.515
```

Top 6 peaks for 2θ from 5° to 70°, by angle:
hkl, 2θ/deg, I/Imax
0 1 1, 16.98, 100
1 1 0, 23.81, 89
0 2 1, 24.32, 47
1 1 -2, 25.57, 76
0 2 2, 34.35, 61
1 3 -1, 35.26, 58

Record 2
Diffraction record for LiTiP2O7. The powder diffraction line list is calculated, not measured: it uses a crystal structure in Alexandria, relaxed with PBE and Cu Ka.
Lines closer than 0.1° are merged.

```
LiTiP2O7
1.0
4.972 0.000 0.000
0.000 8.328 0.000
-2.161 0.000 6.715
Li Ti P O
2 2 4 14
direct
0.168 0.000 0.161
0.832 0.500 0.839
0.206 0.355 0.227
0.794 0.855 0.773
0.229 0.065 0.583
0.404 0.676 0.030
0.596 0.176 0.970
0.771 0.565 0.417
0.024 0.517 0.349
0.138 0.153 0.383
0.194 0.816 0.992
0.251 0.514 0.012
0.395 0.182 0.097
0.406 0.199 0.740
0.417 0.921 0.580
0.583 0.421 0.420
0.594 0.699 0.260
0.605 0.682 0.903
0.749 0.014 0.988
0.806 0.316 0.008
0.862 0.653 0.617
0.976 0.017 0.651
```

Top 6 peaks for 2θ from 5° to 70°, by angle:
hkl, 2θ/deg, I/Imax
0 1 1, 16.96, 100
1 1 -1, 22.13, 61
0 2 1, 25.16, 23
1 1 1, 28.29, 22
1 2 -1, 28.96, 55
1 1 -2, 29.52, 26